# Ca3PbO4
Calculated X-ray powder pattern, Cu Kα, 1.54184 Å. Input: the GGA-PBE geometry in Alexandria.
Lines closer than 0.1° are merged.

Cell and atoms:
```
Ca3PbO4
1.0
8.175 0.000 0.000
0.000 7.091 0.000
0.000 0.000 4.952
Ca Pb O
6 2 8
Direct
0.000 0.172 0.000 Ca
0.249 0.665 0.000 Ca
0.251 0.335 0.500 Ca
0.500 0.828 0.500 Ca
0.749 0.335 0.500 Ca
0.751 0.665 0.000 Ca
0.000 0.835 0.500 Pb
0.500 0.165 0.000 Pb
0.000 0.187 0.500 O
0.000 0.837 0.002 O
0.236 0.343 0.000 O
0.264 0.657 0.500 O
0.500 0.163 0.502 O
0.500 0.813 0.000 O
0.736 0.657 0.500 O
0.764 0.343 0.000 O
```

Top 6 peaks for 2θ from 10° to 90°, sorted by position:
h k l, 2theta, I/Imax
1 1 0, 16.55, 49
1 0 1, 20.97, 40
2 1 0, 25.14, 67
0 2 1, 31.04, 100
4 0 0, 44.28, 54
4 0 2, 58.53, 47